(1)
For Pr4Se3O10F6, a PBE-relaxed structure gives the computed PXRD pattern in this record (Cu Ka).

Top 10 peaks for 10 to 90 degrees two-theta, low angle first:
2θ (°), d/Å, I/Imax
25.2, 3.530, 97
27.7, 3.224, 40
28.3, 3.153, 100
29.4, 3.036, 97
31.5, 2.839, 59
36.0, 2.494, 28
45.7, 1.986, 43
46.0, 1.972, 60
46.4, 1.957, 32
51.9, 1.763, 39

abc: 11.526 11.526 8.291
angles: 97.99 97.99 35.61
Element x y z (fractional)
Pr1 0.045 0.212 0.032
Pr2 0.212 0.045 0.532
Pr3 0.216 0.363 0.328
Pr4 0.363 0.216 0.828
Pr5 0.637 0.784 0.172
Pr6 0.784 0.637 0.672
Pr7 0.788 0.955 0.468
Pr8 0.955 0.788 0.968
Se1 0.116 0.884 0.250
Se2 0.338 0.487 0.633
Se3 0.487 0.338 0.133
Se4 0.513 0.662 0.867
Se5 0.662 0.513 0.367
Se6 0.884 0.116 0.750
O1 0.041 0.084 0.250
O2 0.084 0.041 0.750
O3 0.140 0.612 0.492
O4 0.220 0.747 0.076
O5 0.250 0.466 0.102
O6 0.252 0.526 0.813
O7 0.253 0.780 0.424
O8 0.388 0.860 0.008
O9 0.466 0.250 0.602
O10 0.474 0.748 0.687
O11 0.526 0.252 0.313
O12 0.534 0.750 0.398
O13 0.612 0.140 0.992
O14 0.747 0.220 0.576
O15 0.748 0.474 0.187
O16 0.750 0.534 0.898
O17 0.780 0.253 0.924
O18 0.860 0.388 0.508
O19 0.916 0.959 0.250
O20 0.959 0.916 0.750
F1 0.023 0.532 0.869
F2 0.144 0.348 0.579
F3 0.145 0.215 0.798
F4 0.215 0.145 0.298
F5 0.348 0.144 0.079
F6 0.468 0.977 0.631
F7 0.532 0.023 0.369
F8 0.652 0.856 0.921
F9 0.785 0.855 0.702
F10 0.855 0.785 0.202
F11 0.856 0.652 0.421
F12 0.977 0.468 0.131

***

(2)
For K2Rb2Sn2Au7, a PBE-relaxed structure gives the computed PXRD pattern in this record (Cu Ka).

Top 10 peaks for 10 to 90 degrees two-theta, low angle first:
2θ (°), d/Å, I/Imax
15.1, 5.869, 26
16.0, 5.552, 100
18.0, 4.939, 42
28.3, 3.150, 35
30.5, 2.935, 34
31.6, 2.832, 32
32.2, 2.776, 74
42.8, 2.114, 32
46.4, 1.956, 21
53.0, 1.728, 32

abc: 10.653 10.653 10.653
angles: 37.87 37.87 37.87
Element x y z (fractional)
K1 0.183 0.183 0.183
K2 0.817 0.817 0.817
Rb1 0.312 0.312 0.312
Rb2 0.688 0.688 0.688
Sn1 0.050 0.050 0.050
Sn2 0.950 0.950 0.950
Au1 0.287 0.287 0.697
Au2 0.287 0.697 0.287
Au3 0.303 0.713 0.713
Au4 0.500 0.500 0.500
Au5 0.697 0.287 0.287
Au6 0.713 0.303 0.713
Au7 0.713 0.713 0.303

***

(3)
For TbZnAg4, a PBE-relaxed structure gives the computed PXRD pattern in this record (Cu Ka).

Top 10 peaks for 10 to 90 degrees two-theta, low angle first:
2θ (°), d/Å, I/Imax
19.6, 4.524, 9
22.7, 3.918, 5
32.3, 2.770, 27
38.1, 2.363, 100
39.9, 2.262, 40
57.6, 1.600, 10
61.5, 1.508, 31
67.6, 1.385, 26
80.3, 1.195, 8
81.5, 1.181, 14

abc: 5.539 5.539 5.539
angles: 60.05 60.05 60.05
Element x y z (fractional)
Tb1 0.000 0.000 0.000
Zn1 0.749 0.749 0.749
Ag1 0.376 0.376 0.376
Ag2 0.376 0.376 0.874
Ag3 0.376 0.874 0.376
Ag4 0.874 0.376 0.376

***

(4)
For Tb2TmCo2C2N3, a PBE-relaxed structure gives the computed PXRD pattern in this record (Cu Ka).

Top 10 peaks for 10 to 90 degrees two-theta, low angle first:
2θ (°), d/Å, I/Imax
29.4, 3.035, 100
34.9, 2.570, 70
36.9, 2.434, 40
37.2, 2.415, 44
38.1, 2.360, 34
41.6, 2.173, 26
46.8, 1.941, 25
53.2, 1.721, 34
62.0, 1.497, 27
66.7, 1.401, 30

abc: 9.961 9.961 9.961
angles: 160.10 160.10 28.29
Element x y z (fractional)
Tb1 0.127 0.127 0.000
Tb2 0.873 0.873 0.000
Tm1 0.500 0.500 0.000
Co1 0.250 0.750 0.500
Co2 0.750 0.250 0.500
C1 0.307 0.307 0.000
C2 0.693 0.693 0.000
N1 0.000 0.000 0.000
N2 0.381 0.381 0.000
N3 0.619 0.619 0.000